This entry pairs a crystal structure of NiHgPdF6 with its theoretical XRD peak list. Radiation: λ = 1.5418 Å (Cu Kα). Structure: a crystal structure in Alexandria, relaxed with GGA+U.
Lines closer than 0.1° are merged.

Crystal structure
```
NiHgPdF6
1.0
5.0449 0.0000 0.0000
0.0000 5.0449 0.0000
0.0000 0.0000 10.2428
Ni Hg Pd F
2 2 2 12
Direct
0.0000 0.0000 0.0000 Ni
0.5000 0.5000 0.5000 Ni
0.0000 0.0000 0.3329 Hg
0.5000 0.5000 0.8329 Hg
0.0000 0.0000 0.6651 Pd
0.5000 0.5000 0.1651 Pd
0.1785 0.1785 0.8433 F
0.1923 0.1923 0.1486 F
0.2127 0.2127 0.5066 F
0.2873 0.7127 0.0066 F
0.3077 0.6923 0.6486 F
0.3215 0.6785 0.3433 F
0.6785 0.3215 0.3433 F
0.6923 0.3077 0.6486 F
0.7127 0.2873 0.0066 F
0.7873 0.7873 0.5066 F
0.8077 0.8077 0.1486 F
0.8215 0.8215 0.8433 F
```

The 10 most intense peaks (2θ from 5° to 70°), low angle first:
2θ/deg  Rel. int.  h k l
19.62  27  1 0 1
24.96  100  1 1 0
30.54  11  1 1 2
31.64  81  1 0 3
35.59  21  2 0 0
48.35  71  2 1 3
51.22  18  2 2 0
57.79  15  3 1 0
60.08  17  1 1 6
61.46  22  3 0 3